1.
Structure and simulated PXRD pattern of CeFe4 (a GGA-PBE-relaxed structure; Cu Kα (weighted mean of Kα1 and Kα2)).
Intensities are scaled so that the largest is 100.

The 10 most intense peaks (10 to 90 degrees two-theta), by intensity:
40.5°, intensity 100, (2 0 0); 19.9°, intensity 86, (1 0 0); 28.3°, intensity 73, (1 1 0); 58.6°, intensity 64, (2 2 0); 45.5°, intensity 40, (2 1 0); 50.2°, intensity 30, (2 1 1); 73.7°, intensity 21, (2 2 2); 62.6°, intensity 19, (3 0 0); 80.7°, intensity 15, (3 2 1); 34.9°, intensity 14, (1 1 1)

Cell and atoms:
```
data_CeFe4
_space_group_name_H-M_alt 'P m -3 m'
_space_group_IT_number 221
_space_group_name_Hall '-P 4 2 3'
_cell_length_a 4.454
_cell_length_b 4.454
_cell_length_c 4.454
_cell_angle_alpha 90.00
_cell_angle_beta 90.00
_cell_angle_gamma 90.00
loop_
_atom_site_label
_atom_site_type_symbol
_atom_site_fract_x
_atom_site_fract_y
_atom_site_fract_z
Ce1 Ce 0.000 0.000 0.000
Fe1 Fe 0.000 0.000 0.500
Fe2 Fe 0.500 0.500 0.500
```

2.
Structure and simulated PXRD pattern of ScBr2Cl (a GGA-PBE-relaxed structure; Cu Kα (weighted mean of Kα1 and Kα2)).
Intensities are scaled so that the largest is 100.

The 10 most intense peaks (10 to 90 degrees two-theta), by intensity:
14.7°, intensity 100, (0 1 1); 26.1°, intensity 63, (0 3 1); 42.4°, intensity 41, (1 4 1); 37.3°, intensity 35, (1 1 2); 25.5°, intensity 33, (0 0 2); 32.6°, intensity 29, (1 2 1); 34.6°, intensity 28, (1 3 0); 43.5°, intensity 23, (1 3 2); 28.8°, intensity 20, (1 0 1); 45.3°, intensity 19, (0 3 3)

Cell and atoms:
```
data_ScBr2Cl
_space_group_name_H-M_alt 'I m m 2'
_space_group_IT_number 44
_cell_length_a 3.464
_cell_length_b 11.727
_cell_length_c 6.994
_cell_angle_alpha 90.00
_cell_angle_beta 90.00
_cell_angle_gamma 90.00
loop_
_space_group_symop_operation_xyz
'x,y,z'
'-x,-y,z'
'-x,y,z'
'x,-y,z'
'x+1/2,y+1/2,z+1/2'
'-x+1/2,-y+1/2,z+1/2'
'-x+1/2,y+1/2,z+1/2'
'x+1/2,-y+1/2,z+1/2'
loop_
_atom_site_label
_atom_site_type_symbol
_atom_site_fract_x
_atom_site_fract_y
_atom_site_fract_z
Sc1 Sc 0.000 0.000 0.000
Br1 Br 0.000 0.350 0.649
Cl1 Cl 0.000 0.500 0.236
```